# AcGa2Cu6
Computed X-ray powder pattern, a wavelength of 1.5418 Å. Input: a cell relaxed with GGA-PBE.
No peak broadening, texture or thermal motion is included.

Cell and atoms:
a b c (Å): 7.0140 7.0140 7.0140
angles (deg): 146.73 123.37 67.29
Fractional positions:
Ac (0.0000, 0.0000, 0.0000)
Ga (0.3727, 0.8727, 0.5000)
Ga (0.6273, 0.1273, 0.5000)
Cu (0.0128, 0.3056, 0.7073)
Cu (0.3292, 0.5000, 0.8292)
Cu (0.4017, 0.6944, 0.7073)
Cu (0.5983, 0.3056, 0.2927)
Cu (0.6708, 0.5000, 0.1708)
Cu (0.9872, 0.6944, 0.2927)

Peak list (8 most intense, 10° ≤ 2θ ≤ 90°, in order of falling intensity)
2θ (°), d_spacing, I_rel
35.89, 2.502, 100.0
30.17, 2.963, 82.7
40.54, 2.225, 54.8
47.16, 1.927, 40.6
45.16, 2.008, 34.5
30.93, 2.891, 33.6
53.07, 1.726, 32.0
67.35, 1.390, 26.8